Record 1
This entry pairs a crystal structure of Cs2ZnO2 with its computed X-ray diffraction stick pattern. Radiation: Cu Kα (λ = 1.5418 Å). Structure: DFT lattice parameters and positions (PBE).
Kinematic intensities with the Lorentz-polarization factor, no thermal factor.

Most intense lines, 10° ≤ 2θ ≤ 80°, by angle:
two_theta	intensity	(hkl)
25.12	55	1 1 -4
26.75	83	3 0 -2
27.72	100	1 1 3
27.99	70	1 2 -1
30.52	54	2 1 -5
30.81	63	2 1 2
32.19	49	2 2 -1
42.45	22	4 1 -6
45.12	25	4 2 -3
50.98	25	0 2 7

```
Cs2ZnO2
1.0
10.0213 0.0000 0.0000
0.0000 6.7339 0.0000
-7.6832 0.0000 14.8236
Cs Zn O
16 8 16
Cartesian
-0.2069 0.5321 1.7928
-4.0485 2.8348 9.2046
-0.2337 3.9708 3.8178
-4.0753 6.1300 11.2296
-0.4853 4.5276 7.7671
3.3563 5.5732 0.3553
-0.8245 0.8882 9.8086
3.0171 2.4787 2.3968
-0.6790 4.2551 12.4268
3.1626 5.8457 5.0150
-1.0182 1.1607 14.4683
2.8234 2.2062 7.0565
6.4134 0.6039 3.5939
2.5718 2.7631 11.0057
6.3866 3.8991 5.6190
2.5450 6.2017 13.0308
-2.6759 0.3693 6.8319
-6.5175 2.9976 14.2437
-0.3097 0.9053 5.5321
-4.1513 2.4616 12.9439
6.4894 4.2723 1.8797
2.6478 5.8285 9.2914
8.8556 3.7363 0.5799
5.0140 6.3645 7.9917
-5.4108 3.9623 12.7861
-1.5692 6.1385 5.3743
0.7728 4.1606 1.0403
-3.0688 5.9403 8.4521
-5.1352 1.5099 14.3736
-1.2936 1.8570 6.9618
1.2129 1.3191 4.5292
-2.6287 2.0479 11.9410
4.9668 4.6860 2.8825
1.1252 5.4148 10.2943
3.6317 4.8769 7.8618
7.4733 5.2239 0.4500
5.4068 0.7936 6.3715
1.5653 2.5733 13.7833
3.9073 0.5954 9.4493
7.7489 2.7715 2.0375
```

Record 2
This entry pairs a crystal structure of CsZnO3 with its computed X-ray diffraction stick pattern. Radiation: Cu Kα (λ = 1.5418 Å). Structure: DFT lattice parameters and positions (PBE).
Kinematic intensities with the Lorentz-polarization factor, no thermal factor.

Most intense lines, 10° ≤ 2θ ≤ 80°, by angle:
two_theta	intensity	(hkl)
20.27	21	1 0 0
28.81	100	1 1 0
41.20	34	2 0 0
46.33	8	2 1 0
51.05	41	2 1 1
59.68	21	2 2 0
63.71	4	3 0 0
67.61	18	3 1 0
75.10	7	2 2 2
78.74	2	3 2 0

```
CsZnO3
1.0
4.3819 0.0000 0.0000
0.0000 4.3819 0.0000
0.0000 0.0000 4.3819
Cs Zn O
1 1 3
Cartesian
0.0000 0.0000 0.0000
2.1910 2.1910 2.1910
0.0000 0.0000 2.1910
0.0000 2.1910 0.0000
2.1910 0.0000 0.0000
```

Record 3
This entry pairs a crystal structure of Cs4ZnO3 with its computed X-ray diffraction stick pattern. Radiation: Cu Kα (λ = 1.5418 Å). Structure: DFT lattice parameters and positions (PBE).
Kinematic intensities with the Lorentz-polarization factor, no thermal factor.

Most intense lines, 10° ≤ 2θ ≤ 80°, by angle:
two_theta	intensity	(hkl)
24.87	25	1 0 -2
25.15	22	1 2 1
27.30	30	2 0 0
27.39	100	1 5 -1
27.78	32	0 0 2
29.03	37	2 0 -2
30.73	16	2 3 0
31.16	24	0 3 2
33.14	47	1 5 1
45.56	11	2 5 -3

```
Cs4ZnO3
1.0
7.2985 0.0000 0.0000
0.0000 19.1903 0.0000
-3.1978 0.0000 6.4224
Cs Zn O
16 4 12
Cartesian
0.6200 1.4807 0.9792
-0.9789 8.1144 4.1904
1.0196 13.3022 1.1035
-0.5793 15.4833 4.3147
-0.1635 19.1865 4.5622
1.4354 9.5990 1.3510
-0.0602 3.7152 5.0101
1.5387 5.8800 1.7989
2.5619 13.3103 4.6235
4.1608 15.4751 1.4123
4.2642 0.0038 1.8602
2.6653 9.5914 5.0714
4.6800 3.7070 2.1077
3.0811 5.8881 5.3189
5.0795 11.0759 2.2320
3.4806 17.7096 5.4432
-0.4323 11.8300 5.0556
1.1666 16.9555 1.8444
2.9340 2.2348 4.5779
4.5329 7.3603 1.3667
-2.3034 11.3650 5.2001
-0.7045 17.4204 1.9889
0.5474 11.4809 3.4212
2.1463 17.3046 0.2100
2.0573 3.1743 3.1173
0.4583 6.4208 6.3285
3.6423 12.7695 0.0938
2.0434 16.0160 3.3050
1.9543 1.8857 6.2124
3.5532 7.7094 3.0012
4.8051 1.7699 4.4335
6.4040 7.8253 1.2223
```